Sc4Te3: simulated XRD peak list (copper Kα), based on a crystal structure in Alexandria, relaxed with GGA-PBE.
Intensities are scaled so that the largest is 100.

Atomic structure:
```
Sc4Te3
1.0
-1.919 1.919 11.879
1.919 -1.919 11.879
1.919 1.919 -11.879
Sc Te
4 3
direct
0.065 0.065 0.000
0.357 0.357 0.000
0.643 0.643 0.000
0.935 0.935 0.000
0.189 0.189 0.000
0.500 0.500 0.000
0.811 0.811 0.000
```

The 10 most intense peaks (2θ = 15–90°), in order of rising 2θ:
d/Å, Position (°2θ), Rel. int.
3.960, 22.5, 34.3
3.453, 25.8, 70.3
2.713, 33.0, 100.0
2.542, 35.3, 90.0
2.238, 40.3, 29.5
2.175, 41.5, 23.0
1.919, 47.4, 35.1
1.677, 54.7, 18.6
1.650, 55.7, 19.6
1.531, 60.4, 35.1

Sc5Te: simulated XRD peak list (copper Kα), based on a crystal structure in Alexandria, relaxed with GGA-PBE.
Intensities are scaled so that the largest is 100.

Atomic structure:
```
Sc5Te
1.0
5.690 -1.782 0.000
5.690 1.782 0.000
-1.972 0.000 7.089
Sc Te
5 1
direct
0.000 0.000 0.000
0.021 0.021 0.587
0.314 0.314 0.677
0.356 0.356 0.249
0.639 0.639 0.332
0.700 0.700 0.930
```

The 10 most intense peaks (2θ = 15–90°), in order of rising 2θ:
d/Å, Position (°2θ), Rel. int.
5.482, 16.2, 10.1
2.964, 30.1, 18.1
2.668, 33.6, 15.1
2.555, 35.1, 100.0
2.519, 35.6, 26.4
2.363, 38.1, 12.9
2.353, 38.2, 14.3
1.782, 51.3, 9.1
1.592, 57.9, 11.6
1.455, 64.0, 8.6

Sc9Te2: simulated XRD peak list (copper Kα), based on a crystal structure in Alexandria, relaxed with GGA-PBE.
Intensities are scaled so that the largest is 100.

Atomic structure:
```
Sc9Te2
1.0
3.891 -7.796 0.000
3.891 7.796 0.000
0.000 0.000 17.356
Sc Te
36 8
direct
0.016 0.984 0.578
0.022 0.543 0.345
0.043 0.396 0.155
0.069 0.931 0.370
0.138 0.862 0.810
0.181 0.819 0.209
0.206 0.227 0.734
0.207 0.352 0.425
0.224 0.776 0.987
0.227 0.206 0.234
0.266 0.734 0.500
0.327 0.673 0.715
0.352 0.207 0.925
0.388 0.612 0.271
0.396 0.043 0.655
0.423 0.577 0.862
0.457 0.978 0.345
0.474 0.526 0.093
0.526 0.474 0.593
0.543 0.022 0.845
0.577 0.423 0.362
0.604 0.957 0.155
0.612 0.388 0.771
0.648 0.793 0.425
0.673 0.327 0.215
0.734 0.266 0.000
0.773 0.794 0.734
0.776 0.224 0.487
0.793 0.648 0.925
0.794 0.773 0.234
0.819 0.181 0.709
0.862 0.138 0.310
0.931 0.069 0.870
0.957 0.604 0.655
0.978 0.457 0.845
0.984 0.016 0.078
0.122 0.381 0.591
0.133 0.374 0.988
0.374 0.133 0.488
0.381 0.122 0.091
0.619 0.878 0.591
0.626 0.867 0.988
0.867 0.626 0.488
0.878 0.619 0.091
```

The 10 most intense peaks (2θ = 15–90°), in order of rising 2θ:
d/Å, Position (°2θ), Rel. int.
4.646, 19.1, 34.0
3.894, 22.8, 31.3
3.553, 25.1, 37.6
2.716, 33.0, 66.9
2.625, 34.2, 100.0
2.488, 36.1, 30.8
2.458, 36.6, 88.6
2.370, 38.0, 28.5
2.363, 38.1, 30.5
1.946, 46.7, 28.8

Sc5Te6: simulated XRD peak list (copper Kα), based on a crystal structure in Alexandria, relaxed with GGA-PBE.
Intensities are scaled so that the largest is 100.

Atomic structure:
```
Sc5Te6
1.0
3.589 -6.190 0.000
3.589 6.190 0.000
-2.399 0.000 6.748
Sc Te
5 6
direct
0.000 0.000 0.000
0.164 0.836 0.500
0.330 0.670 0.000
0.670 0.330 0.000
0.836 0.164 0.500
0.094 0.419 0.256
0.257 0.257 0.747
0.419 0.094 0.256
0.581 0.906 0.744
0.743 0.743 0.253
0.906 0.581 0.744
```

The 10 most intense peaks (2θ = 15–90°), in order of rising 2θ:
d/Å, Position (°2θ), Rel. int.
3.382, 26.4, 14.1
3.374, 26.4, 41.1
2.923, 30.6, 100.0
2.068, 43.8, 60.4
2.063, 43.9, 12.0
1.762, 51.9, 15.3
1.687, 54.4, 18.7
1.308, 72.2, 15.3
1.306, 72.4, 10.2
1.192, 80.6, 11.3